(1)
Starting from DFT lattice parameters and positions (PBE), the powder X-ray diffraction pattern of Cs2SrIr was calculated for copper Kα.
Lines closer than 0.1° are merged.

Cell and atoms:
```
Cs2SrIr
1.0
9.1338 0.0000 0.0000
0.0000 9.1338 0.0000
0.0000 0.0000 12.9428
Cs Sr Ir
8 4 4
Direct
0.0040 0.2500 0.1250
0.2500 0.5040 0.3750
0.2500 0.9960 0.8750
0.4960 0.2500 0.6250
0.5040 0.7500 0.6250
0.7500 0.0040 0.8750
0.7500 0.4960 0.3750
0.9960 0.7500 0.1250
0.0000 0.0000 0.5000
0.0000 0.5000 0.7500
0.5000 0.0000 0.2500
0.5000 0.5000 0.0000
0.0000 0.0000 0.0000
0.0000 0.5000 0.2500
0.5000 0.0000 0.7500
0.5000 0.5000 0.5000
```

Principal peaks in the range 2θ from 10° to 80°, in order of falling intensity:
2θ = 11.9°, rel. 100; 2θ = 19.4°, rel. 96; 2θ = 39.4°, rel. 59; 2θ = 34.0°, rel. 48; 2θ = 23.8°, rel. 35; 2θ = 30.1°, rel. 34; 2θ = 41.3°, rel. 29; 2θ = 53.0°, rel. 27; 2θ = 44.3°, rel. 23; 2θ = 71.5°, rel. 21


(2)
Starting from DFT lattice parameters and positions (PBE), the powder X-ray diffraction pattern of CsTeIr was calculated for copper Kα.
Lines closer than 0.1° are merged.

Cell and atoms:
```
CsTeIr
1.0
4.4319 0.0000 0.0000
0.0000 5.3222 0.0000
-1.5868 0.0000 9.0054
Cs Te Ir
2 2 2
Direct
0.2017 0.0000 0.3282
0.7983 0.5000 0.6718
0.3760 0.0304 0.8681
0.6240 0.5304 0.1319
0.0922 0.3342 0.0208
0.9078 0.8342 0.9792
```

Principal peaks in the range 2θ from 10° to 80°, in order of falling intensity:
2θ = 25.9°, rel. 100; 2θ = 30.9°, rel. 70; 2θ = 41.9°, rel. 55; 2θ = 42.9°, rel. 53; 2θ = 26.4°, rel. 53; 2θ = 39.3°, rel. 48; 2θ = 26.9°, rel. 34; 2θ = 47.7°, rel. 33; 2θ = 40.0°, rel. 24; 2θ = 21.0°, rel. 23


(3)
Starting from DFT lattice parameters and positions (PBE), the powder X-ray diffraction pattern of Cs2Te6Ir3 was calculated for copper Kα.
Lines closer than 0.1° are merged.

Cell and atoms:
```
Cs2Te6Ir3
1.0
3.5456 -6.1346 0.0000
3.5456 6.1346 0.0000
-2.3525 0.0000 8.5848
Cs Te Ir
2 6 3
Direct
0.1668 0.8332 0.0000
0.8332 0.1668 0.0000
0.0530 0.3840 0.6521
0.2848 0.2848 0.3471
0.3840 0.0530 0.6521
0.6160 0.9470 0.3479
0.7152 0.7152 0.6529
0.9470 0.6160 0.3479
0.0000 0.0000 0.5000
0.3321 0.6679 0.5000
0.6679 0.3321 0.5000
```

Principal peaks in the range 2θ from 10° to 80°, in order of falling intensity:
2θ = 10.3°, rel. 100; 2θ = 28.8°, rel. 95; 2θ = 44.3°, rel. 41; 2θ = 35.2°, rel. 34; 2θ = 43.4°, rel. 24; 2θ = 56.4°, rel. 19; 2θ = 53.6°, rel. 17; 2θ = 45.6°, rel. 17; 2θ = 37.8°, rel. 16; 2θ = 72.0°, rel. 14


What did the third record say?
Starting from DFT lattice parameters and positions (PBE), the powder X-ray diffraction pattern of Cs2Te6Ir3 was calculated for copper Kα.
Lines closer than 0.1° are merged.

Cell and atoms:
```
Cs2Te6Ir3
1.0
3.5456 -6.1346 0.0000
3.5456 6.1346 0.0000
-2.3525 0.0000 8.5848
Cs Te Ir
2 6 3
Direct
0.1668 0.8332 0.0000
0.8332 0.1668 0.0000
0.0530 0.3840 0.6521
0.2848 0.2848 0.3471
0.3840 0.0530 0.6521
0.6160 0.9470 0.3479
0.7152 0.7152 0.6529
0.9470 0.6160 0.3479
0.0000 0.0000 0.5000
0.3321 0.6679 0.5000
0.6679 0.3321 0.5000
```

Principal peaks in the range 2θ from 10° to 80°, in order of falling intensity:
2θ = 10.3°, rel. 100; 2θ = 28.8°, rel. 95; 2θ = 44.3°, rel. 41; 2θ = 35.2°, rel. 34; 2θ = 43.4°, rel. 24; 2θ = 56.4°, rel. 19; 2θ = 53.6°, rel. 17; 2θ = 45.6°, rel. 17; 2θ = 37.8°, rel. 16; 2θ = 72.0°, rel. 14